# 1
Structure and theoretical X-ray diffraction stick pattern of CeScZn5Pt2 (a crystal structure in Alexandria, relaxed with PBE; copper Kα).
Intensities are scaled so that the largest is 100.

Principal peaks in the range 2θ = 10–90°, most intense first:
- 37.95 deg, I 100
- 44.33 deg, I 57
- 18.71 deg, I 49
- 29.82 deg, I 46
- 21.99 deg, I 39
- 54.76 deg, I 37
- 26.58 deg, I 37
- 35.44 deg, I 31
- 52.45 deg, I 29
- 39.82 deg, I 26
- 73.00 deg, I 24
- 49.00 deg, I 24

```
data_CeScZn5Pt2
_chemical_formula_sum 'Ce1 Sc1 Zn5 Pt2'
_symmetry_space_group_name_H-M 'P 1'
_symmetry_Int_Tables_number 1
_cell_length_a 4.742
_cell_length_b 4.742
_cell_length_c 7.729
_cell_angle_alpha 90.00
_cell_angle_beta 90.00
_cell_angle_gamma 90.00
loop_
_symmetry_equiv_pos_as_xyz
'x,y,z'
loop_
_atom_site_label
_atom_site_type_symbol
_atom_site_fract_x
_atom_site_fract_y
_atom_site_fract_z
_atom_site_occupancy
Ce1 Ce 0.000 0.000 0.000 1
Sc1 Sc 0.000 0.000 0.500 1
Zn1 Zn 0.000 0.500 0.251 1
Zn2 Zn 0.000 0.500 0.749 1
Zn3 Zn 0.500 0.000 0.251 1
Zn4 Zn 0.500 0.000 0.749 1
Zn5 Zn 0.500 0.500 0.000 1
Pt1 Pt 0.500 0.500 0.329 1
Pt2 Pt 0.500 0.500 0.671 1
```


# 2
Structure and theoretical X-ray diffraction stick pattern of Pa4Fe2Ge (a crystal structure in Alexandria, relaxed with PBE; copper Kα).
Intensities are scaled so that the largest is 100.

Principal peaks in the range 2θ = 10–90°, most intense first:
- 36.33 deg, I 100
- 35.22 deg, I 63
- 34.62 deg, I 54
- 32.41 deg, I 52
- 31.63 deg, I 38
- 30.58 deg, I 33
- 36.10 deg, I 33
- 34.41 deg, I 32
- 23.57 deg, I 28
- 28.18 deg, I 26
- 57.68 deg, I 22
- 26.37 deg, I 19

```
data_Pa4Fe2Ge
_chemical_formula_sum 'Pa8 Fe4 Ge2'
_symmetry_space_group_name_H-M 'P 1'
_symmetry_Int_Tables_number 1
_cell_length_a 6.723
_cell_length_b 6.723
_cell_length_c 8.450
_cell_angle_alpha 118.72
_cell_angle_beta 118.72
_cell_angle_gamma 70.68
loop_
_symmetry_equiv_pos_as_xyz
'x,y,z'
loop_
_atom_site_label
_atom_site_type_symbol
_atom_site_fract_x
_atom_site_fract_y
_atom_site_fract_z
_atom_site_occupancy
Pa1 Pa 0.020 0.020 0.182 1
Pa2 Pa 0.284 0.471 0.578 1
Pa3 Pa 0.459 0.131 0.869 1
Pa4 Pa 0.529 0.716 0.422 1
Pa5 Pa 0.581 0.048 0.296 1
Pa6 Pa 0.869 0.541 0.131 1
Pa7 Pa 0.952 0.419 0.704 1
Pa8 Pa 0.980 0.980 0.818 1
Fe1 Fe 0.276 0.313 0.179 1
Fe2 Fe 0.657 0.246 0.708 1
Fe3 Fe 0.687 0.724 0.821 1
Fe4 Fe 0.754 0.343 0.292 1
Ge1 Ge 0.092 0.908 0.500 1
Ge2 Ge 0.351 0.649 0.000 1
```